Theoretical powder X-ray diffraction pattern of LaZnFeMoO6 for Cu Kα, from a crystal structure in the Materials Project, relaxed with PBE+U.
Neutral-atom scattering factors, no anomalous dispersion.

Cell and atoms:
a b c (Å): 5.493 5.816 7.852
angles (deg): 90.04 90.45 90.63
Element x y z (fractional)
La1 0.000 0.000 0.000
La2 0.499 0.386 0.499
Zn1 0.502 0.339 0.999
Zn2 0.993 0.046 0.494
Fe1 0.013 0.466 0.245
Fe2 0.516 0.931 0.745
Mo1 0.020 0.471 0.750
Mo2 0.515 0.918 0.249
O1 0.150 0.415 0.993
O2 0.194 0.155 0.696
O3 0.209 0.137 0.304
O4 0.320 0.637 0.697
O5 0.330 0.631 0.290
O6 0.430 0.956 0.001
O7 0.646 0.971 0.492
O8 0.718 0.252 0.805
O9 0.719 0.243 0.194
O10 0.830 0.733 0.189
O11 0.831 0.726 0.786
O12 0.933 0.440 0.497

Main lines, low angle first (2θ = 10–90°):
19.0 deg, I 25; 27.4 deg, I 23; 30.7 deg, I 37; 31.8 deg, I 51; 32.0 deg, I 100; 32.2 deg, I 50; 32.6 deg, I 52; 46.2 deg, I 32; 57.5 deg, I 24; 57.8 deg, I 24

***

Theoretical powder X-ray diffraction pattern of NaCaFeSi4O12 for Cu Kα, from a crystal structure in the Materials Project, relaxed with PBE+U.
Neutral-atom scattering factors, no anomalous dispersion.

Cell and atoms:
a b c (Å): 6.721 6.721 5.272
angles (deg): 101.74 101.74 84.83
Element x y z (fractional)
Na1 0.000 0.000 0.000
Ca1 0.584 0.416 0.500
Fe1 0.212 0.788 0.500
Si1 0.102 0.320 0.516
Si2 0.497 0.074 0.971
Si3 0.680 0.898 0.484
Si4 0.926 0.503 0.029
O1 0.086 0.684 0.136
O2 0.193 0.088 0.440
O3 0.260 0.500 0.575
O4 0.316 0.914 0.864
O5 0.405 0.304 0.058
O6 0.500 0.740 0.425
O7 0.642 0.073 0.751
O8 0.656 0.032 0.247
O9 0.696 0.595 0.942
O10 0.912 0.807 0.560
O11 0.927 0.358 0.249
O12 0.968 0.344 0.753

Main lines, low angle first (2θ = 10–90°):
17.5 deg, I 37; 19.6 deg, I 24; 20.0 deg, I 28; 27.1 deg, I 33; 29.5 deg, I 100; 29.8 deg, I 42; 30.4 deg, I 38; 34.5 deg, I 30; 35.3 deg, I 41; 35.4 deg, I 44

***

Theoretical powder X-ray diffraction pattern of Na3Mg2Mo3O12 for Cu Kα, from a crystal structure in the Materials Project, relaxed with PBE+U.
Neutral-atom scattering factors, no anomalous dispersion.

Cell and atoms:
a b c (Å): 9.203 9.203 7.192
angles (deg): 105.21 105.21 95.42
Element x y z (fractional)
Na1 0.000 0.000 0.000
Na2 0.000 0.000 0.500
Na3 0.236 0.764 0.750
Na4 0.471 0.529 0.250
Na5 0.529 0.471 0.750
Na6 0.764 0.236 0.250
Mg1 0.130 0.445 0.874
Mg2 0.445 0.130 0.374
Mg3 0.555 0.870 0.626
Mg4 0.870 0.555 0.126
Mo1 0.160 0.379 0.374
Mo2 0.218 0.782 0.250
Mo3 0.379 0.160 0.874
Mo4 0.621 0.840 0.126
Mo5 0.782 0.218 0.750
Mo6 0.840 0.621 0.626
O1 0.021 0.757 0.273
O2 0.036 0.204 0.310
O3 0.098 0.456 0.162
O4 0.150 0.494 0.612
O5 0.204 0.036 0.810
O6 0.243 0.979 0.227
O7 0.263 0.658 0.025
O8 0.339 0.353 0.905
O9 0.342 0.737 0.475
O10 0.353 0.339 0.405
O11 0.456 0.098 0.662
O12 0.494 0.150 0.112
O13 0.506 0.850 0.888
O14 0.544 0.902 0.338
O15 0.647 0.661 0.595
O16 0.658 0.263 0.525
O17 0.661 0.647 0.095
O18 0.737 0.342 0.975
O19 0.757 0.021 0.773
O20 0.796 0.964 0.190
O21 0.850 0.506 0.388
O22 0.902 0.544 0.838
O23 0.964 0.796 0.690
O24 0.979 0.243 0.727

Main lines, low angle first (2θ = 10–90°):
19.1 deg, I 54; 20.7 deg, I 39; 22.9 deg, I 30; 23.3 deg, I 46; 25.8 deg, I 53; 28.8 deg, I 32; 29.5 deg, I 26; 30.6 deg, I 100; 31.4 deg, I 37; 31.8 deg, I 47